No. 1
K3CoO3: computed powder diffractogram (Cu Kα (λ = 1.5418 Å)), based on a crystal structure in OQMD, relaxed with PBE+U.

Top 12 peaks for 10 to 90 degrees two-theta, sorted by position:
| 2theta | I/Imax | h k l |
| --- | --- | --- |
| 20.76 | 44 | 1 1 1 |
| 30.77 | 95 | 2 2 1 |
| 31.22 | 46 | 1 3 1 |
| 31.51 | 35 | 3 1 0 |
| 32.72 | 100 | 0 0 2 |
| 32.84 | 36 | 0 4 0 |
| 35.62 | 22 | 3 1 1 |
| 40.92 | 21 | 4 0 0 |
| 46.06 | 20 | 3 1 2 |
| 47.04 | 22 | 0 4 2 |
| 52.21 | 29 | 3 5 0 |
| 62.98 | 35 | 3 5 2 |

Crystal structure
abc: 8.821 10.908 5.474
angles: 90.00 90.00 90.00
Space group Cmcm (No. 63)
Asymmetric unit:
1 K 0.000 0.105 0.250 [4 per cell]
2 K 0.206 0.385 0.250 [8 per cell]
3 Co 0.000 0.298 0.750 [4 per cell]
4 O 0.000 0.134 0.750 [4 per cell]
5 O 0.180 0.370 0.750 [8 per cell]

No. 2
K4Co7O14: computed powder diffractogram (Cu Kα (λ = 1.5418 Å)), based on a crystal structure in OQMD, relaxed with PBE+U.

Top 12 peaks for 10 to 90 degrees two-theta, sorted by position:
| 2theta | I/Imax | h k l |
| --- | --- | --- |
| 14.49 | 100 | 0 0 2 |
| 29.22 | 28 | 0 0 4 |
| 31.24 | 10 | 2 0 2 |
| 36.68 | 18 | 2 1 0 |
| 39.63 | 41 | 2 1 2 |
| 43.08 | 16 | 2 1 3 |
| 47.57 | 37 | 2 1 4 |
| 58.96 | 23 | 2 1 6 |
| 66.06 | 14 | 1 4 0 |
| 68.04 | 11 | 1 4 2 |
| 72.97 | 10 | 2 1 8 |
| 73.83 | 7 | 1 4 4 |

Crystal structure
abc: 7.4843 7.4843 12.2237
angles: 90.00 90.00 120.00
Space group P6_3/m (No. 176)
Asymmetric unit:
1 K 0.0000 0.0000 0.2500 [2 per cell]
2 K 0.0326 0.4525 0.2500 [6 per cell]
3 Co 0.0000 0.0000 0.0000 [2 per cell]
4 Co 0.1427 0.7140 0.0021 [12 per cell]
5 O 0.0464 0.2385 0.0798 [12 per cell]
6 O 0.0997 0.4768 0.5763 [12 per cell]
7 O 0.3333 0.6667 0.0857 [4 per cell]